(1)
The following is a theoretical PXRD pattern of NaScB2O5. It was derived from a structure optimized by DFT (GGA-PBE), using λ = 1.5418 Å (Cu Kα).
Intensities are scaled so that the largest is 100.

Largest 6 diffraction maxima, in order of falling intensity, 5° ≤ 2θ ≤ 70°:
h k l  2theta  d [Å]  I (rel.)
0 0 2  31.5  2.844  100.0
2 2 -1  31.4  2.850  70.1
1 1 0  15.6  5.667  65.0
1 3 -1  32.0  2.798  57.1
1 1 -1  19.0  4.669  43.5
3 3 -1  46.5  1.951  39.7

Cell and atoms:
Unit cell a=7.2957 b=9.8839 c=5.9996 alpha=90.00 beta=108.55 gamma=90.00
Fractional coordinates of all 36 atoms:
1 Na 0.2206 0.0813 0.1991
2 Na 0.2206 0.4187 0.6991
3 Na 0.7794 0.5813 0.3009
4 Na 0.7794 0.9187 0.8009
5 Sc 0.2460 0.6722 0.2832
6 Sc 0.2460 0.8278 0.7832
7 Sc 0.7540 0.1722 0.2168
8 Sc 0.7540 0.3278 0.7168
9 B 0.0902 0.1198 0.6697
10 B 0.0902 0.3802 0.1697
11 B 0.4455 0.0952 0.7458
12 B 0.4455 0.4048 0.2458
13 B 0.5545 0.5952 0.7542
14 B 0.5545 0.9048 0.2542
15 B 0.9098 0.6198 0.8303
16 B 0.9098 0.8802 0.3303
17 O 0.0657 0.7047 0.9253
18 O 0.0657 0.7953 0.4253
19 O 0.0794 0.0009 0.7787
20 O 0.0794 0.4991 0.2787
21 O 0.2696 0.1692 0.6571
22 O 0.2696 0.3308 0.1571
23 O 0.3867 0.6690 0.6594
24 O 0.3867 0.8310 0.1594
25 O 0.4472 0.5414 0.2331
26 O 0.4472 0.9586 0.7331
27 O 0.5528 0.0414 0.2669
28 O 0.5528 0.4586 0.7669
29 O 0.6133 0.1690 0.8406
30 O 0.6133 0.3310 0.3406
31 O 0.7304 0.6692 0.8429
32 O 0.7304 0.8308 0.3429
33 O 0.9206 0.5009 0.7213
34 O 0.9206 0.9991 0.2213
35 O 0.9343 0.2047 0.5747
36 O 0.9343 0.2953 0.0747

=====

(2)
The following is a theoretical PXRD pattern of NaSiBO4. It was derived from a structure optimized by DFT (GGA-PBE), using λ = 1.5418 Å (Cu Kα).
Intensities are scaled so that the largest is 100.

Largest 6 diffraction maxima, in order of falling intensity, 5° ≤ 2θ ≤ 70°:
h k l  2theta  d [Å]  I (rel.)
0 1 2  22.8  3.904  100.0
4 0 0  37.4  2.402  18.9
0 2 0  37.3  2.412  18.7
2 0 6  44.9  2.019  12.6
2 1 4  37.8  2.383  9.7
2 1 3  33.1  2.703  8.9

Cell and atoms:
Unit cell a=9.6074 b=4.8240 c=13.3480 alpha=90.00 beta=90.00 gamma=90.00
Fractional coordinates of all 56 atoms:
1 Na 0.0253 0.0504 0.0000
2 Na 0.2150 0.5565 0.2476
3 Na 0.2850 0.5565 0.7476
4 Na 0.4747 0.0504 0.5000
5 Na 0.5253 0.9496 0.0000
6 Na 0.7150 0.4435 0.2476
7 Na 0.7850 0.4435 0.7476
8 Na 0.9747 0.9496 0.5000
9 Si 0.0309 0.4405 0.6233
10 Si 0.2255 0.0453 0.3743
11 Si 0.2745 0.0453 0.8743
12 Si 0.4691 0.4405 0.1233
13 Si 0.5309 0.5595 0.6233
14 Si 0.7255 0.9547 0.3743
15 Si 0.7745 0.9547 0.8743
16 Si 0.9691 0.5595 0.1233
17 B 0.0265 0.9433 0.7494
18 B 0.2226 0.5470 0.9980
19 B 0.2774 0.5470 0.4980
20 B 0.4735 0.9433 0.2494
21 B 0.5265 0.0567 0.7494
22 B 0.7226 0.4530 0.9980
23 B 0.7774 0.4530 0.4980
24 B 0.9735 0.0567 0.2494
25 O 0.0013 0.6511 0.7176
26 O 0.0039 0.8723 0.1634
27 O 0.0655 0.9906 0.3361
28 O 0.0726 0.5119 0.0270
29 O 0.1739 0.9762 0.7789
30 O 0.1910 0.4780 0.5862
31 O 0.2470 0.8426 0.9704
32 O 0.2488 0.3656 0.4104
33 O 0.2512 0.3656 0.9104
34 O 0.2530 0.8426 0.4704
35 O 0.3090 0.4780 0.0862
36 O 0.3261 0.9762 0.2789
37 O 0.4274 0.5119 0.5270
38 O 0.4345 0.9906 0.8361
39 O 0.4961 0.8723 0.6634
40 O 0.4987 0.6511 0.2176
41 O 0.5013 0.3489 0.7176
42 O 0.5039 0.1277 0.1634
43 O 0.5655 0.0094 0.3361
44 O 0.5726 0.4881 0.0270
45 O 0.6739 0.0238 0.7789
46 O 0.6910 0.5220 0.5862
47 O 0.7470 0.1574 0.9704
48 O 0.7488 0.6344 0.4104
49 O 0.7512 0.6344 0.9104
50 O 0.7530 0.1574 0.4704
51 O 0.8090 0.5220 0.0862
52 O 0.8261 0.0238 0.2789
53 O 0.9274 0.4881 0.5270
54 O 0.9345 0.0094 0.8361
55 O 0.9961 0.1277 0.6634
56 O 0.9987 0.3489 0.2176